Diffraction record for TbMgZrTc. The powder diffractogram is theoretical, not measured: it uses a crystal structure in Alexandria, relaxed with PBE and CuKα.
Neutral-atom scattering factors, no anomalous dispersion.

Atomic structure:
Cell lengths 6.9508, 6.9508, 6.9508 Å; angles 90.00, 90.00, 90.00 degrees
Space group F-43m (No. 216)
Unique sites:
Tb1 0.0000 0.0000 0.0000 (multiplicity 4)
Mg1 0.2500 0.2500 0.7500 (multiplicity 4)
Zr1 0.0000 0.0000 0.5000 (multiplicity 4)
Tc1 0.2500 0.2500 0.2500 (multiplicity 4)

Top 10 peaks for 10 to 80 degrees two-theta, sorted by position:
- d 4.013, intensity 16.3, (1 1 1)
- d 3.475, intensity 13.6, (2 0 0)
- d 2.457, intensity 100.0, (2 2 0)
- d 2.096, intensity 8.7, (3 1 1)
- d 2.007, intensity 4.0, (2 2 2)
- d 1.738, intensity 17.3, (4 0 0)
- d 1.595, intensity 3.7, (3 3 1)
- d 1.554, intensity 5.4, (4 2 0)
- d 1.419, intensity 34.8, (4 2 2)
- d 1.229, intensity 10.7, (4 4 0)